Structure and computed X-ray diffraction stick pattern of YCd11Ag (DFT lattice parameters and positions (PBE); copper Kα).
Intensities are scaled so that the largest is 100.

Structural model:
a = 7.6212 Å, b = 7.6212 Å, c = 7.6140 Å
α = 98.60°, β = 98.60°, γ = 134.52°
Fractional coordinates of all 13 atoms:
Y 0.0000 0.0000 0.0000
Cd 0.0000 0.5000 0.0000
Cd 0.0021 0.6558 0.6476
Cd 0.2817 0.4922 0.7863
Cd 0.3442 0.9979 0.3524
Cd 0.4922 0.2817 0.7863
Cd 0.5000 0.0000 0.0000
Cd 0.5000 0.5000 0.5000
Cd 0.5078 0.7183 0.2137
Cd 0.6558 0.0021 0.6476
Cd 0.7183 0.5078 0.2137
Cd 0.9979 0.3442 0.3524
Ag 0.0000 0.0000 0.5000

Peak list (6 most intense, 10° ≤ 2θ ≤ 80°, low angle first)
d 2.887, intensity 45
d 2.534, intensity 80
d 2.496, intensity 100
d 2.484, intensity 64
d 2.257, intensity 90
d 2.222, intensity 49